This entry pairs a crystal structure of Cd2CoWO6 with its simulated powder X-ray diffraction pattern. Radiation: a wavelength of 1.5418 Å. Structure: a cell relaxed with PBE+U.

The 10 most intense peaks (10° ≤ 2θ ≤ 80°), by intensity:
| 2θ (°) | intensity | (hkl) |
| --- | --- | --- |
| 32.3 | 100.0 | 1 1 -3 |
| 32.9 | 23.2 | 2 0 -2 |
| 32.1 | 22.9 | 0 2 0 |
| 58.3 | 21.9 | 3 1 -5 |
| 46.6 | 21.8 | 2 2 -2 |
| 57.3 | 15.2 | 1 3 -3 |
| 19.5 | 14.2 | 0 1 1 |
| 19.8 | 13.7 | 1 0 0 |
| 46.0 | 13.0 | 0 0 4 |
| 57.2 | 10.3 | 0 2 4 |

Cell and atoms:
```
Cd2CoWO6
1.0
5.4518 0.0000 0.0000
0.0000 5.5781 0.0000
-5.4354 0.0000 7.8924
Cd Co W O
4 2 2 12
Cartesian
-0.0578 0.2533 1.9768 Cd
-2.7755 2.5357 5.9230 Cd
2.7918 3.0424 1.9694 Cd
0.0741 5.3248 5.9156 Cd
2.7259 0.0000 0.0000 Co
0.0082 2.7890 3.9462 Co
-2.7177 0.0000 3.9462 W
0.0000 2.7890 0.0000 W
-4.4315 1.1767 7.4162 O
-1.7138 1.6123 3.4699 O
-3.8491 3.8620 7.4997 O
-1.1314 4.5051 3.5535 O
-2.1444 0.2314 5.8254 O
0.5734 2.5577 1.8792 O
-0.5570 3.0204 6.0132 O
2.1607 5.3467 2.0670 O
1.1477 1.0729 4.3390 O
3.8654 1.7161 0.3928 O
1.7302 3.9657 4.4225 O
4.4479 4.4014 0.4763 O
```